This entry pairs a crystal structure of YNbP2SO12 with its simulated X-ray powder pattern. Radiation: copper Kα. Structure: a structure optimized by DFT (GGA-PBE).
Neutral-atom scattering factors, no anomalous dispersion.

```
data_YNbP2SO12
_chemical_formula_sum 'Y4 Nb4 P8 S4 O48'
_cell_length_a 15.776
_cell_length_b 9.088
_cell_length_c 9.385
_cell_angle_alpha 90.00
_cell_angle_beta 125.04
_cell_angle_gamma 90.00
_symmetry_space_group_name_H-M 'C 1 c 1'
_symmetry_Int_Tables_number 9
_symmetry_space_group_name_Hall 'C -2yc'
loop_
_atom_site_label
_atom_site_fract_x
_atom_site_fract_y
_atom_site_fract_z
Y1 0.000 0.247 0.000
Nb1 0.215 0.262 0.655
P1 0.120 0.467 0.835
P2 0.465 0.374 0.832
S1 0.250 0.088 0.335
O1 0.054 0.440 0.176
O2 0.064 0.357 0.870
O3 0.067 0.199 0.496
O4 0.161 0.154 0.178
O5 0.191 0.429 0.500
O6 0.198 0.377 0.809
O7 0.245 0.078 0.808
O8 0.248 0.114 0.490
O9 0.345 0.140 0.361
O10 0.367 0.291 0.800
O11 0.458 0.467 0.370
O12 0.466 0.351 0.674
```

Principal peaks in the range 2θ = 10–90°, in order of rising 2θ:
d/Å  Position (°2θ)  I_rel
6.528  13.6  54
4.691  18.9  53
4.632  19.2  100
4.549  19.5  92
3.941  22.6  41
3.911  22.7  44
3.891  22.9  41
3.264  27.3  69
3.229  27.6  34
2.628  34.1  57